This entry pairs a crystal structure of Y2H2Pd with its theoretical XRD peak list. Radiation: a wavelength of 1.5418 Å. Structure: the PBE geometry in OQMD.

Peak list (10 most intense, 10 to 90 degrees two-theta, sorted by position)
2θ/deg  I (rel.)
14.21  12
33.31  100
36.00  45
43.56  7
44.49  14
51.83  16
57.74  13
63.02  30
71.36  7
87.41  7

Structure:
a b c (Å): 6.714 6.714 6.714
angles (deg): 149.53 149.53 43.62
Sites, in units of the cell vectors:
Y  0.142  0.142  0.000
Y  0.858  0.858  0.000
H  0.250  0.750  0.500
H  0.750  0.250  0.500
Pd  0.500  0.500  0.000